Calculated powder X-ray diffraction pattern of MoW2Se4S2 for Cu Kα X-rays, from DFT lattice parameters and positions (GGA-PBE).
Neutral-atom scattering factors, no anomalous dispersion.

Structure:
a b c (Å): 3.2745 3.2745 30.2321
angles (deg): 90.00 90.00 120.00
Space group P3m1 (No. 156)
Asymmetric unit:
Mo1 0.0000 0.0000 0.0000 (multiplicity 1)
W1 0.0000 0.0000 0.4627 (multiplicity 1)
W2 0.3333 0.6667 0.2314 (multiplicity 1)
Se1 0.0000 0.0000 0.1751 (multiplicity 1)
Se2 0.0000 0.0000 0.2876 (multiplicity 1)
Se3 0.3333 0.6667 0.0559 (multiplicity 1)
Se4 0.3333 0.6667 0.9441 (multiplicity 1)
S1 0.3333 0.6667 0.4116 (multiplicity 1)
S2 0.3333 0.6667 0.5138 (multiplicity 1)

Most intense lines, 15 to 90 degrees two-theta, in order of falling intensity:
2θ (°), intensity
37.96, 100
36.35, 88
45.99, 78
56.21, 53
31.55, 49
43.77, 46

=====

Calculated powder X-ray diffraction pattern of CdN2Cl2 for Cu Kα X-rays, from DFT lattice parameters and positions (GGA-PBE).
Neutral-atom scattering factors, no anomalous dispersion.

Structure:
a b c (Å): 7.735 9.308 3.744
angles (deg): 90.00 90.00 90.00
Space group Cmmm (No. 65)
Asymmetric unit:
Cd1 0.000 0.000 0.000 (multiplicity 2)
N1 0.000 0.280 0.000 (multiplicity 4)
Cl1 0.228 0.000 0.500 (multiplicity 4)

Most intense lines, 15 to 90 degrees two-theta, in order of falling intensity:
2θ (°), intensity
19.07, 100
38.67, 86
33.31, 83
28.16, 57
31.06, 44
51.96, 39

=====

Calculated powder X-ray diffraction pattern of Pt3Rh for Cu Kα X-rays, from DFT lattice parameters and positions (GGA-PBE).
Neutral-atom scattering factors, no anomalous dispersion.

Structure:
a b c (Å): 3.944 3.944 7.911
angles (deg): 90.00 90.00 90.00
Space group I4/mmm (No. 139)
Asymmetric unit:
Pt1 0.000 0.000 0.000 (multiplicity 2)
Pt2 0.000 0.500 0.250 (multiplicity 4)
Rh1 0.000 0.000 0.500 (multiplicity 2)

Most intense lines, 15 to 90 degrees two-theta, in order of falling intensity:
2θ (°), intensity
39.54, 100
46.03, 33
80.81, 26
67.02, 21
45.88, 16
80.59, 13

=====

Calculated powder X-ray diffraction pattern of Ho2Fe17H3 for Cu Kα X-rays, from DFT lattice parameters and positions (GGA-PBE).
Neutral-atom scattering factors, no anomalous dispersion.

Structure:
a b c (Å): 8.5482 8.5482 8.1720
angles (deg): 90.00 90.00 120.00
Space group P6_3/mmc (No. 194)
Asymmetric unit:
Ho1 0.0000 0.0000 0.2500 (multiplicity 2)
Ho2 0.3333 0.6667 0.2500 (multiplicity 2)
Fe1 0.0000 0.5000 0.0000 (multiplicity 6)
Fe2 0.0489 0.3775 0.7500 (multiplicity 12)
Fe3 0.1668 0.3335 0.0170 (multiplicity 12)
Fe4 0.3333 0.6667 0.6042 (multiplicity 4)
H1 0.1648 0.3295 0.2500 (multiplicity 6)

Most intense lines, 15 to 90 degrees two-theta, in order of falling intensity:
2θ (°), intensity
42.81, 100
42.29, 67
30.26, 45
36.41, 42
41.14, 36
44.34, 32

=====

- What is the formula in the third record?
  Pt3Rh